No. 1
Starting from DFT lattice parameters and positions (GGA-PBE), the XRD peak list of YZrAu was simulated for Cu Kα (weighted mean of Kα1 and Kα2).
Intensities are scaled so that the largest is 100.

The 10 most intense peaks (10 to 80 degrees two-theta), sorted by position:
15.23 deg, I 6.5; 25.60 deg, I 8.6; 34.63 deg, I 100.0; 36.52 deg, I 45.5; 46.84 deg, I 9.2; 52.60 deg, I 15.9; 60.81 deg, I 16.8; 64.52 deg, I 32.5; 73.07 deg, I 11.5; 78.99 deg, I 6.2

Crystal structure
Cell lengths 3.480, 3.480, 11.638 Å; angles 90.00, 90.00, 90.00 degrees
Sites, in units of the cell vectors:
Y 0.000 0.000 0.000
Y 0.000 0.000 0.322
Zr 0.000 0.000 0.690
Zr 0.500 0.500 0.521
Au 0.500 0.500 0.163
Au 0.500 0.500 0.829

=====

No. 2
Starting from DFT lattice parameters and positions (GGA-PBE), the XRD peak list of HoCu2Pd5 was simulated for Cu Kα (weighted mean of Kα1 and Kα2).
Intensities are scaled so that the largest is 100.

The 10 most intense peaks (10 to 80 degrees two-theta), sorted by position:
37.16 deg, I 14.3; 37.62 deg, I 33.8; 38.31 deg, I 100.0; 41.74 deg, I 75.4; 42.16 deg, I 21.4; 60.50 deg, I 11.3; 64.11 deg, I 11.7; 67.30 deg, I 9.9; 79.13 deg, I 16.0; 79.89 deg, I 17.1

Crystal structure
Cell lengths 7.325, 7.325, 7.325 Å; angles 124.31, 124.31, 82.69 degrees
Sites, in units of the cell vectors:
Ho 0.250 0.250 0.000
Ho 0.750 0.750 0.000
Cu 0.146 0.646 0.792
Cu 0.354 0.146 0.500
Cu 0.646 0.854 0.500
Cu 0.854 0.354 0.208
Pd 0.000 0.000 0.000
Pd 0.007 0.799 0.500
Pd 0.201 0.701 0.209
Pd 0.299 0.507 0.500
Pd 0.493 0.993 0.791
Pd 0.500 0.500 0.000
Pd 0.507 0.007 0.209
Pd 0.701 0.493 0.500
Pd 0.799 0.299 0.791
Pd 0.993 0.201 0.500

=====

No. 3
Starting from DFT lattice parameters and positions (GGA-PBE), the XRD peak list of RbTcCl6 was simulated for Cu Kα (weighted mean of Kα1 and Kα2).
Intensities are scaled so that the largest is 100.

The 10 most intense peaks (10 to 80 degrees two-theta), sorted by position:
14.11 deg, I 27.5; 18.20 deg, I 100.0; 22.26 deg, I 50.6; 28.44 deg, I 18.1; 31.81 deg, I 21.9; 33.59 deg, I 15.1; 34.36 deg, I 48.2; 36.88 deg, I 13.9; 49.47 deg, I 16.1; 51.86 deg, I 14.3

Crystal structure
Cell lengths 8.487, 9.754, 6.295 Å; angles 90.00, 104.87, 90.00 degrees
Sites, in units of the cell vectors:
Rb 0.000 0.000 0.000
Rb 0.500 0.500 0.000
Tc 0.000 0.500 0.500
Tc 0.500 0.000 0.500
Cl 0.155 0.329 0.722
Cl 0.155 0.671 0.722
Cl 0.180 0.500 0.279
Cl 0.320 0.000 0.721
Cl 0.345 0.171 0.278
Cl 0.345 0.829 0.278
Cl 0.655 0.171 0.722
Cl 0.655 0.829 0.722
Cl 0.680 0.000 0.279
Cl 0.820 0.500 0.721
Cl 0.845 0.329 0.278
Cl 0.845 0.671 0.278

=====

No. 4
Starting from DFT lattice parameters and positions (GGA-PBE), the XRD peak list of DyHSe2 was simulated for Cu Kα (weighted mean of Kα1 and Kα2).
Intensities are scaled so that the largest is 100.

The 10 most intense peaks (10 to 80 degrees two-theta), sorted by position:
12.72 deg, I 42.8; 22.06 deg, I 100.0; 24.95 deg, I 42.6; 31.44 deg, I 60.4; 34.79 deg, I 34.2; 35.48 deg, I 35.6; 38.66 deg, I 46.1; 39.41 deg, I 32.2; 41.04 deg, I 55.3; 49.63 deg, I 42.0

Crystal structure
Cell lengths 5.494, 4.943, 7.413 Å; angles 90.00, 110.16, 90.00 degrees
Sites, in units of the cell vectors:
Dy 0.166 0.000 0.332
Dy 0.834 0.500 0.668
H 0.432 0.623 0.029
H 0.568 0.123 0.971
Se 0.209 0.822 0.975
Se 0.272 0.497 0.535
Se 0.728 0.997 0.465
Se 0.791 0.322 0.025

=====

No. 5
Starting from DFT lattice parameters and positions (GGA-PBE), the XRD peak list of ErTlAu was simulated for Cu Kα (weighted mean of Kα1 and Kα2).
Intensities are scaled so that the largest is 100.

The 10 most intense peaks (10 to 80 degrees two-theta), sorted by position:
34.14 deg, I 100.0; 35.91 deg, I 24.1; 38.47 deg, I 20.0; 44.12 deg, I 8.8; 53.64 deg, I 15.5; 58.14 deg, I 7.9; 59.95 deg, I 7.2; 63.41 deg, I 17.1; 66.82 deg, I 14.5; 71.89 deg, I 9.8

Crystal structure
Cell lengths 12.315, 4.680, 5.002 Å; angles 90.00, 90.07, 90.00 degrees
Sites, in units of the cell vectors:
Er 0.114 0.000 0.250
Er 0.386 0.500 0.750
Er 0.614 0.500 0.250
Er 0.886 0.000 0.750
Tl 0.084 0.500 0.750
Tl 0.416 0.000 0.250
Tl 0.584 0.000 0.750
Tl 0.916 0.500 0.250
Au 0.241 0.000 0.750
Au 0.259 0.500 0.250
Au 0.741 0.500 0.750
Au 0.759 0.000 0.250